(1)
Diffraction record for Sr2InCl5. The X-ray powder pattern is calculated, not measured: it uses a crystal structure in Alexandria, relaxed with PBE and CuKα.
No peak broadening, texture or thermal motion is included.

Unit cell a=4.4493 b=7.2846 c=15.3675 alpha=90.00 beta=90.00 gamma=90.00
Space group Immm (No. 71)
Symmetry-distinct sites (fractional):
Sr  0.0000  0.0000  0.1844 x4
In  0.0000  0.5000  0.0000 x2
Cl  0.0000  0.0000  0.0000 x2
Cl  0.0000  0.2363  0.3444 x8

The 6 most intense peaks (2θ = 10–80°), low angle first:
- (0 1 3), 2θ = 21.20°, rel. 85
- (1 1 2), 2θ = 26.18°, rel. 78
- (1 2 1), 2θ = 32.29°, rel. 100
- (0 0 6), 2θ = 35.03°, rel. 39
- (1 0 5), 2θ = 35.50°, rel. 34
- (1 2 5), 2θ = 43.57°, rel. 51

---

(2)
Diffraction record for RbAgAu. The X-ray powder pattern is calculated, not measured: it uses a crystal structure in Alexandria, relaxed with PBE and CuKα.
No peak broadening, texture or thermal motion is included.

Unit cell a=4.6861 b=8.4582 c=9.8782 alpha=90.00 beta=90.00 gamma=90.00
Space group Immm (No. 71)
Symmetry-distinct sites (fractional):
Rb  0.0000  0.0000  0.2469 x4
Ag  0.0000  0.3369  0.0000 x4
Au  0.0000  0.3371  0.5000 x4

The 6 most intense peaks (2θ = 10–80°), low angle first:
- (0 0 2), 2θ = 17.96°, rel. 59
- (0 2 2), 2θ = 27.77°, rel. 45
- (1 1 2), 2θ = 28.29°, rel. 100
- (0 0 4), 2θ = 36.38°, rel. 33
- (1 3 0), 2θ = 37.22°, rel. 62
- (1 3 4), 2θ = 53.03°, rel. 44

---

(3)
Diffraction record for TlSn6S8. The X-ray powder pattern is calculated, not measured: it uses a crystal structure in Alexandria, relaxed with PBE and CuKα.
No peak broadening, texture or thermal motion is included.

Unit cell a=10.5403 b=10.5403 c=4.0724 alpha=90.00 beta=90.00 gamma=120.00
Space group P-3 (No. 147)
Symmetry-distinct sites (fractional):
Tl  0.0000  0.0000  0.0000 x1
Sn  0.1412  0.6785  0.2522 x6
S  0.0299  0.3289  0.2474 x6
S  0.3333  0.6667  0.7521 x2

The 6 most intense peaks (2θ = 10–80°), low angle first:
- (0 1 1), 2θ = 23.93°, rel. 56
- (2 1 0), 2θ = 25.82°, rel. 100
- (0 2 1), 2θ = 29.38°, rel. 36
- (3 -1 1), 2θ = 34.06°, rel. 72
- (2 2 1), 2θ = 40.79°, rel. 50
- (1 4 0), 2θ = 45.55°, rel. 37

---

(4)
Diffraction record for Pr2B6Ir9. The X-ray powder pattern is calculated, not measured: it uses a crystal structure in Alexandria, relaxed with PBE and CuKα.
No peak broadening, texture or thermal motion is included.

Unit cell a=5.7153 b=5.7153 c=8.6408 alpha=90.00 beta=90.00 gamma=120.00
Space group P6/mmm (No. 191)
Symmetry-distinct sites (fractional):
Pr  0.0000  0.0000  0.2042 x2
B  0.3333  0.6667  0.1674 x4
B  0.3333  0.6667  0.5000 x2
Ir  0.0000  0.5000  0.0000 x3
Ir  0.0000  0.5000  0.3370 x6

The 6 most intense peaks (2θ = 10–80°), low angle first:
- (0 0 3), 2θ = 31.05°, rel. 27
- (1 0 3), 2θ = 36.08°, rel. 30
- (2 0 0), 2θ = 36.30°, rel. 100
- (1 1 3), 2θ = 44.67°, rel. 20
- (2 0 3), 2θ = 48.50°, rel. 52
- (2 2 0), 2θ = 65.31°, rel. 20

---

(5)
Diffraction record for Cs2MnTe2S6. The X-ray powder pattern is calculated, not measured: it uses a crystal structure in Alexandria, relaxed with PBE and CuKα.
No peak broadening, texture or thermal motion is included.

Unit cell a=7.0083 b=7.0083 c=16.3336 alpha=90.00 beta=90.00 gamma=120.00
Space group P-3c1 (No. 165)
Symmetry-distinct sites (fractional):
Cs  0.3333  0.6667  0.2085 x4
Mn  0.0000  0.0000  0.0000 x2
Te  0.3333  0.6667  0.4647 x4
S  0.0974  0.3227  0.3988 x12

The 6 most intense peaks (2θ = 10–80°), low angle first:
- (1 0 0), 2θ = 14.59°, rel. 30
- (1 1 0), 2θ = 25.42°, rel. 79
- (0 1 4), 2θ = 26.31°, rel. 100
- (1 1 4), 2θ = 33.70°, rel. 53
- (3 0 0), 2θ = 44.79°, rel. 26
- (1 2 4), 2θ = 45.34°, rel. 43

---

(6)
Diffraction record for PmBe2Al2. The X-ray powder pattern is calculated, not measured: it uses a crystal structure in Alexandria, relaxed with PBE and CuKα.
No peak broadening, texture or thermal motion is included.

Unit cell a=4.0566 b=4.0566 c=10.1013 alpha=90.00 beta=90.00 gamma=90.00
Space group P4/nmm (No. 129, origin choice 2)
Symmetry-distinct sites (fractional):
Pm  0.2500  0.2500  0.2442 x2
Be  0.2500  0.2500  0.6385 x2
Be  0.2500  0.7500  0.0000 x2
Al  0.2500  0.2500  0.8745 x2
Al  0.2500  0.7500  0.5000 x2

The 6 most intense peaks (2θ = 10–80°), low angle first:
- (0 0 2), 2θ = 17.56°, rel. 42
- (1 0 1), 2θ = 23.63°, rel. 100
- (1 1 0), 2θ = 31.18°, rel. 36
- (1 0 3), 2θ = 34.62°, rel. 72
- (1 1 2), 2θ = 36.01°, rel. 75
- (2 1 3), 2θ = 57.72°, rel. 33